Computed PXRD pattern of Li2VP3O10 for a wavelength of 1.5418 Å, from a crystal structure in Alexandria, relaxed with PBE+U.
Lines closer than 0.1° are merged.

Most intense lines, 10° ≤ 2θ ≤ 90°, most intense first:
| d [Å] | Rel. int. |
| --- | --- |
| 5.790 | 100 |
| 4.005 | 98 |
| 3.849 | 83 |
| 2.502 | 61 |
| 2.951 | 60 |
| 3.198 | 28 |
| 2.876 | 24 |
| 4.861 | 21 |
| 1.925 | 20 |
| 4.161 | 20 |
| 1.819 | 14 |
| 1.530 | 12 |

Cell and atoms:
Cell: 8.153 8.153 9.743 Å, 123.47 123.47 51.90°
Sites, in units of the cell vectors:
Li 0.231 0.232 0.047
Li 0.232 0.231 0.547
Li 0.768 0.769 0.453
Li 0.769 0.768 0.953
V 0.161 0.839 0.750
V 0.839 0.161 0.250
P 0.066 0.698 0.314
P 0.302 0.934 0.186
P 0.453 0.547 0.250
P 0.547 0.453 0.750
P 0.698 0.066 0.814
P 0.934 0.302 0.686
O 0.033 0.786 0.485
O 0.068 0.479 0.195
O 0.102 0.131 0.786
O 0.131 0.102 0.286
O 0.214 0.967 0.015
O 0.312 0.478 0.653
O 0.312 0.680 0.375
O 0.320 0.688 0.125
O 0.478 0.312 0.153
O 0.479 0.068 0.695
O 0.521 0.932 0.305
O 0.522 0.688 0.847
O 0.680 0.312 0.875
O 0.688 0.320 0.625
O 0.688 0.522 0.347
O 0.786 0.033 0.985
O 0.869 0.898 0.714
O 0.898 0.869 0.214
O 0.932 0.521 0.805
O 0.967 0.214 0.515


Computed PXRD pattern of LiV3P5O19 for a wavelength of 1.5418 Å, from a crystal structure in Alexandria, relaxed with PBE+U.
Lines closer than 0.1° are merged.

Most intense lines, 10° ≤ 2θ ≤ 90°, most intense first:
| d [Å] | Rel. int. |
| --- | --- |
| 7.597 | 100 |
| 4.188 | 86 |
| 6.120 | 84 |
| 3.798 | 54 |
| 3.106 | 53 |
| 5.439 | 46 |
| 4.496 | 38 |
| 2.707 | 26 |
| 2.932 | 23 |
| 3.689 | 16 |
| 2.786 | 15 |
| 1.591 | 13 |

Cell and atoms:
Cell: 8.505 8.505 6.377 Å, 98.92 98.92 113.13°
Sites, in units of the cell vectors:
Li 0.000 0.000 0.000
V 0.250 0.496 0.471
V 0.496 0.250 0.471
V 0.762 0.762 0.150
P 0.192 0.822 0.292
P 0.319 0.611 0.019
P 0.611 0.319 0.019
P 0.678 0.678 0.604
P 0.822 0.192 0.292
O 0.004 0.337 0.399
O 0.023 0.839 0.195
O 0.170 0.693 0.436
O 0.241 0.525 0.779
O 0.245 0.756 0.073
O 0.258 0.477 0.158
O 0.329 0.329 0.477
O 0.337 0.004 0.399
O 0.477 0.258 0.158
O 0.495 0.677 0.560
O 0.521 0.716 0.073
O 0.525 0.241 0.779
O 0.677 0.495 0.560
O 0.693 0.170 0.436
O 0.716 0.521 0.073
O 0.756 0.245 0.073
O 0.784 0.784 0.451
O 0.785 0.785 0.840
O 0.839 0.023 0.195


Computed PXRD pattern of LiVP4O12 for a wavelength of 1.5418 Å, from a crystal structure in Alexandria, relaxed with PBE+U.
Lines closer than 0.1° are merged.

Most intense lines, 10° ≤ 2θ ≤ 90°, most intense first:
| d [Å] | Rel. int. |
| --- | --- |
| 7.697 | 100 |
| 3.782 | 82 |
| 4.896 | 47 |
| 3.605 | 38 |
| 5.224 | 34 |
| 6.101 | 32 |
| 4.551 | 24 |
| 2.608 | 22 |
| 3.141 | 19 |
| 3.366 | 18 |
| 2.603 | 17 |
| 2.377 | 15 |

Cell and atoms:
Cell: 8.611 8.611 7.841 Å, 98.05 98.05 113.72°
Sites, in units of the cell vectors:
Li 0.160 0.840 0.500
Li 0.840 0.160 0.000
V 0.221 0.473 0.029
V 0.473 0.221 0.529
P 0.114 0.756 0.878
P 0.130 0.284 0.605
P 0.284 0.130 0.105
P 0.387 0.548 0.455
P 0.548 0.387 0.955
P 0.578 0.926 0.615
P 0.756 0.114 0.378
P 0.926 0.578 0.115
O 0.014 0.712 0.280
O 0.076 0.737 0.684
O 0.089 0.336 0.778
O 0.168 0.958 0.963
O 0.186 0.242 0.101
O 0.214 0.456 0.528
O 0.242 0.186 0.601
O 0.246 0.701 0.967
O 0.336 0.089 0.278
O 0.336 0.594 0.285
O 0.428 0.978 0.579
O 0.444 0.492 0.957
O 0.456 0.214 0.028
O 0.492 0.444 0.457
O 0.492 0.720 0.605
O 0.594 0.336 0.785
O 0.663 0.935 0.443
O 0.701 0.246 0.467
O 0.712 0.014 0.780
O 0.720 0.492 0.105
O 0.737 0.076 0.184
O 0.935 0.663 0.943
O 0.958 0.168 0.463
O 0.978 0.428 0.079


Computed PXRD pattern of LiVP2O7 for a wavelength of 1.5418 Å, from a crystal structure in Alexandria, relaxed with PBE+U.
Lines closer than 0.1° are merged.

Most intense lines, 10° ≤ 2θ ≤ 90°, most intense first:
| d [Å] | Rel. int. |
| --- | --- |
| 3.070 | 100 |
| 2.998 | 69 |
| 3.101 | 68 |
| 5.996 | 64 |
| 4.762 | 43 |
| 6.139 | 40 |
| 4.246 | 30 |
| 2.596 | 27 |
| 3.465 | 22 |
| 1.615 | 20 |
| 2.156 | 19 |
| 1.999 | 15 |

Cell and atoms:
Cell: 6.744 8.491 9.148 Å, 90.00 103.71 90.00°
Sites, in units of the cell vectors:
Li 0.193 0.085 0.258
Li 0.193 0.415 0.258
Li 0.807 0.585 0.742
Li 0.807 0.915 0.742
V 0.252 0.062 0.750
V 0.252 0.438 0.750
V 0.748 0.562 0.250
V 0.748 0.938 0.250
P 0.008 0.750 0.061
P 0.076 0.750 0.530
P 0.418 0.750 0.976
P 0.492 0.250 0.546
P 0.508 0.750 0.454
P 0.582 0.250 0.024
P 0.924 0.250 0.470
P 0.992 0.250 0.939
O 0.018 0.099 0.849
O 0.018 0.401 0.849
O 0.070 0.601 0.622
O 0.070 0.899 0.622
O 0.106 0.250 0.102
O 0.108 0.250 0.610
O 0.250 0.750 0.072
O 0.267 0.750 0.457
O 0.364 0.250 0.386
O 0.385 0.250 0.894
O 0.403 0.601 0.884
O 0.403 0.899 0.884
O 0.472 0.100 0.637
O 0.472 0.400 0.637
O 0.528 0.600 0.363
O 0.528 0.900 0.363
O 0.597 0.101 0.116
O 0.597 0.399 0.116
O 0.615 0.750 0.106
O 0.636 0.750 0.614
O 0.733 0.250 0.543
O 0.750 0.250 0.928
O 0.892 0.750 0.390
O 0.894 0.750 0.898
O 0.930 0.101 0.378
O 0.930 0.399 0.378
O 0.982 0.599 0.151
O 0.982 0.901 0.151


Computed PXRD pattern of Li2VP2O8 for a wavelength of 1.5418 Å, from a crystal structure in Alexandria, relaxed with PBE+U.
Lines closer than 0.1° are merged.

Most intense lines, 10° ≤ 2θ ≤ 90°, most intense first:
| d [Å] | Rel. int. |
| --- | --- |
| 5.455 | 100 |
| 3.009 | 87 |
| 3.928 | 83 |
| 3.454 | 66 |
| 3.822 | 57 |
| 2.728 | 43 |
| 3.544 | 42 |
| 2.366 | 24 |
| 3.363 | 21 |
| 1.392 | 17 |
| 2.309 | 15 |
| 3.130 | 14 |

Cell and atoms:
Cell: 5.034 8.075 7.514 Å, 90.00 100.03 90.00°
Sites, in units of the cell vectors:
Li 0.177 0.000 0.123
Li 0.278 0.637 0.711
Li 0.722 0.137 0.289
Li 0.823 0.500 0.877
V 0.252 0.625 0.258
V 0.748 0.125 0.742
P 0.169 0.947 0.521
P 0.321 0.309 0.974
P 0.679 0.809 0.026
P 0.831 0.447 0.479
O 0.027 0.450 0.341
O 0.054 0.235 0.860
O 0.065 0.037 0.348
O 0.240 0.488 0.025
O 0.245 0.765 0.485
O 0.406 0.198 0.134
O 0.437 0.032 0.625
O 0.465 0.820 0.153
O 0.535 0.320 0.847
O 0.563 0.532 0.375
O 0.594 0.698 0.866
O 0.755 0.265 0.515
O 0.760 0.988 0.975
O 0.935 0.537 0.652
O 0.946 0.735 0.140
O 0.973 0.950 0.659


Computed PXRD pattern of LiVP3O9 for a wavelength of 1.5418 Å, from a crystal structure in Alexandria, relaxed with PBE+U.
Lines closer than 0.1° are merged.

Most intense lines, 10° ≤ 2θ ≤ 90°, most intense first:
| d [Å] | Rel. int. |
| --- | --- |
| 2.879 | 100 |
| 4.853 | 91 |
| 3.581 | 69 |
| 7.938 | 62 |
| 3.167 | 48 |
| 3.833 | 47 |
| 4.034 | 45 |
| 2.783 | 44 |
| 4.384 | 42 |
| 4.256 | 42 |
| 2.985 | 41 |
| 2.793 | 39 |

Cell and atoms:
Cell: 9.502 9.550 9.875 Å, 110.01 104.33 108.29°
Sites, in units of the cell vectors:
Li 0.142 0.353 0.160
Li 0.153 0.570 0.996
Li 0.847 0.430 0.004
Li 0.858 0.647 0.840
V 0.246 0.732 0.774
V 0.402 0.200 0.289
V 0.598 0.800 0.711
V 0.754 0.268 0.226
P 0.006 0.652 0.392
P 0.066 0.835 0.204
P 0.196 0.075 0.913
P 0.315 0.412 0.582
P 0.440 0.710 0.333
P 0.497 0.886 0.144
P 0.503 0.114 0.856
P 0.560 0.290 0.667
P 0.685 0.588 0.418
P 0.804 0.925 0.087
P 0.934 0.165 0.796
P 0.994 0.348 0.608
O 0.001 0.674 0.056
O 0.059 0.512 0.752
O 0.076 0.105 0.794
O 0.089 0.801 0.355
O 0.121 0.681 0.542
O 0.140 0.893 0.863
O 0.144 0.313 0.582
O 0.218 0.974 0.242
O 0.231 0.188 0.080
O 0.283 0.578 0.201
O 0.307 0.356 0.417
O 0.345 0.751 0.006
O 0.354 0.148 0.879
O 0.377 0.596 0.684
O 0.420 0.350 0.681
O 0.451 0.774 0.497
O 0.469 0.936 0.820
O 0.497 0.132 0.701
O 0.503 0.868 0.299
O 0.531 0.064 0.180
O 0.549 0.226 0.503
O 0.580 0.650 0.319
O 0.623 0.404 0.316
O 0.646 0.852 0.121
O 0.655 0.249 0.994
O 0.693 0.644 0.583
O 0.717 0.422 0.799
O 0.769 0.812 0.920
O 0.782 0.026 0.758
O 0.856 0.687 0.418
O 0.860 0.107 0.137
O 0.879 0.319 0.458
O 0.911 0.199 0.645
O 0.924 0.895 0.206
O 0.941 0.488 0.248
O 0.999 0.326 0.944